[1]
Diffraction record for Na2FeNi2P3O12. The PXRD pattern is calculated, not measured: it uses DFT lattice parameters and positions (PBE+U) and a wavelength of 1.5418 Å.
Neutral-atom scattering factors, no anomalous dispersion.

Top 10 peaks for 15° ≤ 2θ ≤ 90°, most intense first:
d_spacing, Position (°2θ), intensity
2.713, 33.0, 100
2.560, 35.1, 55
3.127, 28.5, 38
2.871, 31.2, 36
2.670, 33.6, 32
2.114, 42.8, 26
3.425, 26.0, 24
4.223, 21.0, 20
1.614, 57.1, 20
2.553, 35.2, 20

Cell lengths 8.5936, 8.5936, 6.5194 Å; angles 106.07, 106.07, 94.29 degrees
Positions (direct):
Na (0.0000, 0.0000, 0.0000)
Na (0.0000, 0.0000, 0.5000)
Na (0.4845, 0.5155, 0.7500)
Na (0.5155, 0.4845, 0.2500)
Fe (0.2341, 0.7659, 0.2500)
Fe (0.7659, 0.2341, 0.7500)
Ni (0.1236, 0.4452, 0.3755)
Ni (0.4452, 0.1236, 0.8755)
Ni (0.5548, 0.8764, 0.1245)
Ni (0.8764, 0.5548, 0.6245)
P (0.1549, 0.3801, 0.8762)
P (0.2041, 0.7959, 0.7500)
P (0.3801, 0.1549, 0.3762)
P (0.6199, 0.8451, 0.6238)
P (0.7959, 0.2041, 0.2500)
P (0.8451, 0.6199, 0.1238)
O (0.0155, 0.2356, 0.8324)
O (0.0248, 0.7663, 0.7430)
O (0.1001, 0.4577, 0.6868)
O (0.1772, 0.5128, 0.1115)
O (0.2337, 0.9752, 0.7570)
O (0.2356, 0.0155, 0.3324)
O (0.2421, 0.6870, 0.5347)
O (0.3130, 0.7579, 0.9653)
O (0.3249, 0.3293, 0.8919)
O (0.3293, 0.3249, 0.3919)
O (0.4577, 0.1001, 0.1868)
O (0.4872, 0.8228, 0.3885)
O (0.5128, 0.1772, 0.6115)
O (0.5423, 0.8999, 0.8132)
O (0.6707, 0.6751, 0.6081)
O (0.6751, 0.6707, 0.1081)
O (0.6870, 0.2421, 0.0347)
O (0.7579, 0.3130, 0.4653)
O (0.7644, 0.9845, 0.6676)
O (0.7663, 0.0248, 0.2430)
O (0.8228, 0.4872, 0.8885)
O (0.8999, 0.5423, 0.3132)
O (0.9752, 0.2337, 0.2570)
O (0.9845, 0.7644, 0.1676)

***

[2]
Diffraction record for Na14Fe2O9. The PXRD pattern is calculated, not measured: it uses DFT lattice parameters and positions (PBE+U) and a wavelength of 1.5418 Å.
Neutral-atom scattering factors, no anomalous dispersion.

Top 10 peaks for 15° ≤ 2θ ≤ 90°, most intense first:
d_spacing, Position (°2θ), intensity
2.743, 32.6, 100
4.958, 17.9, 96
1.930, 47.1, 90
1.936, 46.9, 55
1.921, 47.3, 51
1.925, 47.2, 51
4.910, 18.1, 48
1.943, 46.8, 46
2.707, 33.1, 45
2.133, 42.4, 39

Cell lengths 6.6720, 6.7108, 9.4256 Å; angles 89.56, 89.30, 60.30 degrees
Positions (direct):
Na (0.0000, 0.0000, 0.0000)
Na (0.0007, 0.9994, 0.5039)
Na (0.0374, 0.6408, 0.3442)
Na (0.0677, 0.3087, 0.6604)
Na (0.3145, 0.6241, 0.6592)
Na (0.3204, 0.0412, 0.3432)
Na (0.3604, 0.6802, 0.1602)
Na (0.3777, 0.9318, 0.8424)
Na (0.6239, 0.0649, 0.6604)
Na (0.6397, 0.3221, 0.3445)
Na (0.6775, 0.9625, 0.1598)
Na (0.6870, 0.3748, 0.8446)
Na (0.9359, 0.6884, 0.8444)
Na (0.9620, 0.3608, 0.1595)
Fe (0.3310, 0.3325, 0.9923)
Fe (0.6702, 0.6661, 0.5114)
O (0.0586, 0.3020, 0.9128)
O (0.3036, 0.6419, 0.9169)
O (0.3351, 0.3367, 0.2108)
O (0.3599, 0.9470, 0.5864)
O (0.6395, 0.0519, 0.9156)
O (0.6627, 0.6682, 0.2930)
O (0.6994, 0.3575, 0.5888)
O (0.9448, 0.6937, 0.5914)
O (0.9992, 0.0014, 0.2519)

***

[3]
Diffraction record for Na3FeO3. The PXRD pattern is calculated, not measured: it uses DFT lattice parameters and positions (PBE+U) and a wavelength of 1.5418 Å.
Neutral-atom scattering factors, no anomalous dispersion.

Top 10 peaks for 15° ≤ 2θ ≤ 90°, most intense first:
d_spacing, Position (°2θ), intensity
2.621, 34.2, 100
5.401, 16.4, 81
4.029, 22.1, 66
2.444, 36.8, 58
3.981, 22.3, 57
2.704, 33.1, 39
2.466, 36.4, 34
1.935, 47.0, 31
2.429, 37.0, 27
1.924, 47.2, 22

Cell lengths 8.6183, 8.6183, 6.2054 Å; angles 110.51, 110.51, 77.72 degrees
Positions (direct):
Na (0.0223, 0.9777, 0.5000)
Na (0.0810, 0.6074, 0.9523)
Na (0.2187, 0.2704, 0.2410)
Na (0.2704, 0.2187, 0.7410)
Na (0.3161, 0.8893, 0.9627)
Na (0.4599, 0.5056, 0.0820)
Na (0.5056, 0.4599, 0.5820)
Na (0.6074, 0.0810, 0.4523)
Na (0.6917, 0.7762, 0.0208)
Na (0.7762, 0.6917, 0.5208)
Na (0.8893, 0.3161, 0.4627)
Na (0.9777, 0.0223, 0.0000)
Fe (0.1309, 0.6080, 0.5110)
Fe (0.3764, 0.8547, 0.4347)
Fe (0.6080, 0.1309, 0.0110)
Fe (0.8547, 0.3764, 0.9347)
O (0.0273, 0.2235, 0.8353)
O (0.0413, 0.7963, 0.7129)
O (0.2235, 0.0273, 0.3353)
O (0.2620, 0.6598, 0.3518)
O (0.2672, 0.4714, 0.6960)
O (0.4714, 0.2672, 0.1960)
O (0.4844, 0.9440, 0.7773)
O (0.5352, 0.7865, 0.2634)
O (0.6598, 0.2620, 0.8518)
O (0.7865, 0.5352, 0.7634)
O (0.7963, 0.0413, 0.2129)
O (0.9440, 0.4844, 0.2773)

***

[4]
Diffraction record for Na4FeO5. The PXRD pattern is calculated, not measured: it uses DFT lattice parameters and positions (PBE+U) and a wavelength of 1.5418 Å.
Neutral-atom scattering factors, no anomalous dispersion.

Top 10 peaks for 15° ≤ 2θ ≤ 90°, most intense first:
d_spacing, Position (°2θ), intensity
2.356, 38.2, 100
5.269, 16.8, 73
2.286, 39.4, 58
1.641, 56.1, 56
2.693, 33.3, 53
3.896, 22.8, 46
1.666, 55.1, 30
1.346, 69.9, 26
1.417, 65.9, 23
2.097, 43.1, 11

Cell lengths 7.4569, 4.5710, 14.8902 Å; angles 90.00, 90.05, 90.00 degrees
Positions (direct):
Na (0.0000, 0.0000, 0.0000)
Na (0.0002, 0.0000, 0.4994)
Na (0.1029, 0.5000, 0.1569)
Na (0.1026, 0.5000, 0.6566)
Na (0.3139, 0.5000, 0.4478)
Na (0.3145, 0.5000, 0.9482)
Na (0.4172, 0.0000, 0.1050)
Na (0.4169, 0.0000, 0.6045)
Na (0.4995, 0.5000, 0.2500)
Na (0.4999, 0.5000, 0.7495)
Na (0.6024, 0.0000, 0.4063)
Na (0.6027, 0.0000, 0.9064)
Na (0.8133, 0.0000, 0.6978)
Na (0.8140, 0.0000, 0.1979)
Na (0.9167, 0.5000, 0.8549)
Na (0.9177, 0.5000, 0.3551)
Fe (0.2085, 0.0000, 0.3024)
Fe (0.2091, 0.0000, 0.8024)
Fe (0.7087, 0.5000, 0.0520)
Fe (0.7087, 0.5000, 0.5521)
O (0.1419, 0.0000, 0.1830)
O (0.1415, 0.0000, 0.6828)
O (0.2084, 0.5000, 0.3025)
O (0.2086, 0.5000, 0.8025)
O (0.2747, 0.0000, 0.4217)
O (0.2751, 0.0000, 0.9221)
O (0.4466, 0.0000, 0.2691)
O (0.4474, 0.0000, 0.7684)
O (0.4706, 0.5000, 0.0856)
O (0.4707, 0.5000, 0.5855)
O (0.6419, 0.5000, 0.4330)
O (0.6416, 0.5000, 0.9327)
O (0.7086, 0.0000, 0.0520)
O (0.7086, 0.0000, 0.5519)
O (0.7745, 0.5000, 0.1714)
O (0.7745, 0.5000, 0.6715)
O (0.9469, 0.5000, 0.0190)
O (0.9468, 0.5000, 0.5193)
O (0.9702, 0.0000, 0.3355)
O (0.9696, 0.0000, 0.8352)

***

[5]
Diffraction record for Na4FeO5. The PXRD pattern is calculated, not measured: it uses DFT lattice parameters and positions (PBE+U) and a wavelength of 1.5418 Å.
Neutral-atom scattering factors, no anomalous dispersion.

Top 10 peaks for 15° ≤ 2θ ≤ 90°, most intense first:
d_spacing, Position (°2θ), intensity
2.294, 39.3, 100
5.129, 17.3, 66
2.436, 36.9, 63
2.700, 33.2, 55
1.670, 55.0, 54
4.044, 22.0, 49
1.622, 56.8, 30
1.390, 67.3, 27
1.350, 69.6, 21
3.627, 24.5, 12

Cell lengths 4.8718, 7.2538, 14.5078 Å; angles 90.00, 90.00, 90.00 degrees
Positions (direct):
Na (0.0000, 0.0000, 0.0000)
Na (0.9999, 0.9995, 0.5001)
Na (0.0002, 0.1937, 0.2064)
Na (0.0001, 0.1941, 0.7062)
Na (0.9999, 0.3904, 0.4018)
Na (0.0001, 0.3903, 0.9018)
Na (0.0001, 0.8029, 0.3049)
Na (0.0000, 0.8028, 0.8045)
Na (0.4949, 0.3023, 0.0546)
Na (0.4949, 0.3028, 0.5547)
Na (0.4948, 0.4991, 0.2504)
Na (0.4948, 0.4991, 0.7501)
Na (0.4949, 0.6939, 0.4565)
Na (0.4949, 0.6941, 0.9563)
Na (0.4950, 0.8904, 0.1522)
Na (0.4948, 0.8903, 0.6520)
Fe (0.5475, 0.0965, 0.3531)
Fe (0.5476, 0.0965, 0.8529)
Fe (0.9472, 0.5958, 0.1033)
Fe (0.9473, 0.5965, 0.6034)
O (0.0062, 0.3547, 0.0673)
O (0.0061, 0.3562, 0.5675)
O (0.0063, 0.5252, 0.2242)
O (0.0059, 0.5253, 0.7236)
O (0.0062, 0.6679, 0.4832)
O (0.0063, 0.6686, 0.9827)
O (0.0060, 0.8371, 0.6388)
O (0.0064, 0.8377, 0.1390)
O (0.4885, 0.0254, 0.4735)
O (0.4888, 0.0256, 0.9732)
O (0.4889, 0.1682, 0.2330)
O (0.4890, 0.1680, 0.7328)
O (0.4885, 0.3369, 0.3891)
O (0.4889, 0.3368, 0.8888)
O (0.4889, 0.8559, 0.3177)
O (0.4888, 0.8560, 0.8176)
O (0.5827, 0.5963, 0.1033)
O (0.5833, 0.5965, 0.6033)
O (0.9113, 0.0965, 0.8530)
O (0.9117, 0.0966, 0.3532)